(1)
The following is a theoretical XRD peak list of Pr6ZnHg5. It was derived from DFT lattice parameters and positions (PBE), using Cu Kα, 1.54184 Å.
Peak positions follow from Bragg's law for the DFT cell and can differ from measured ones.

Crystal structure
```
data_Pr6ZnHg5
_space_group_name_H-M_alt 'P 1 2/m 1'
_space_group_IT_number 10
_cell_length_a 5.4264
_cell_length_b 7.7058
_cell_length_c 8.5786
_cell_angle_alpha 90.00
_cell_angle_beta 108.26
_cell_angle_gamma 90.00
loop_
_space_group_symop_operation_xyz
'x,y,z'
'-x,-y,-z'
'-x,y,-z'
'x,-y,z'
loop_
_atom_site_label
_atom_site_type_symbol
_atom_site_fract_x
_atom_site_fract_y
_atom_site_fract_z
Pr1 Pr 0.0000 0.2441 0.0000
Pr2 Pr 0.3349 0.2466 0.6714
Zn1 Zn 0.5000 0.0000 0.0000
Hg1 Hg 0.1674 0.0000 0.3325
Hg2 Hg 0.1681 0.5000 0.3341
Hg3 Hg 0.5000 0.5000 0.0000
```

Top 12 peaks for 10 to 90 degrees two-theta, low angle first:
| d/Å | intensity |
| --- | --- |
| 2.719 | 100 |
| 2.713 | 20 |
| 1.926 | 7 |
| 1.922 | 7 |
| 1.916 | 7 |
| 1.570 | 31 |
| 1.567 | 15 |
| 1.358 | 7 |
| 1.218 | 7 |
| 1.216 | 7 |
| 1.213 | 7 |
| 1.110 | 5 |


(2)
The following is a theoretical XRD peak list of Pr7Zn2Hg2. It was derived from DFT lattice parameters and positions (PBE), using Cu Kα, 1.54184 Å.
Peak positions follow from Bragg's law for the DFT cell and can differ from measured ones.

Crystal structure
```
data_Pr7Zn2Hg2
_space_group_name_H-M_alt 'C m m m'
_space_group_IT_number 65
_space_group_name_Hall '-C 2 2'
_cell_length_a 7.8115
_cell_length_b 11.3262
_cell_length_c 7.9899
_cell_angle_alpha 90.00
_cell_angle_beta 90.00
_cell_angle_gamma 90.00
loop_
_atom_site_label
_atom_site_type_symbol
_atom_site_fract_x
_atom_site_fract_y
_atom_site_fract_z
Pr1 Pr 0.0000 0.0000 0.0000
Pr2 Pr 0.0000 0.5000 0.2458
Pr3 Pr 0.2500 0.2500 0.2787
Zn1 Zn 0.0000 0.2890 0.0000
Hg1 Hg 0.1821 0.0000 0.5000
```

Top 12 peaks for 10 to 90 degrees two-theta, low angle first:
| d/Å | intensity |
| --- | --- |
| 3.509 | 47 |
| 3.394 | 63 |
| 3.264 | 39 |
| 3.215 | 32 |
| 2.832 | 67 |
| 2.589 | 46 |
| 2.505 | 100 |
| 2.410 | 20 |
| 2.203 | 23 |
| 2.070 | 19 |
| 1.997 | 22 |
| 1.632 | 21 |


(3)
The following is a theoretical XRD peak list of Pr4ZnHg5. It was derived from DFT lattice parameters and positions (PBE), using Cu Kα, 1.54184 Å.
Peak positions follow from Bragg's law for the DFT cell and can differ from measured ones.

Crystal structure
```
data_Pr4ZnHg5
_space_group_name_H-M_alt 'C 1 2/m 1'
_space_group_IT_number 12
_cell_length_a 16.3182
_cell_length_b 5.2915
_cell_length_c 6.5485
_cell_angle_alpha 90.00
_cell_angle_beta 104.04
_cell_angle_gamma 90.00
loop_
_space_group_symop_operation_xyz
'x,y,z'
'-x,-y,-z'
'-x,y,-z'
'x,-y,z'
'x+1/2,y+1/2,z'
'-x+1/2,-y+1/2,-z'
'-x+1/2,y+1/2,-z'
'x+1/2,-y+1/2,z'
loop_
_atom_site_label
_atom_site_type_symbol
_atom_site_fract_x
_atom_site_fract_y
_atom_site_fract_z
Pr1 Pr 0.0923 0.0000 0.3275
Pr2 Pr 0.1865 0.5000 0.8177
Zn1 Zn 0.0000 0.5000 0.5000
Hg1 Hg 0.0000 0.5000 0.0000
Hg2 Hg 0.1005 0.0000 0.8451
Hg3 Hg 0.2153 0.5000 0.3404
```

Top 12 peaks for 10 to 90 degrees two-theta, low angle first:
| d/Å | intensity |
| --- | --- |
| 4.455 | 10 |
| 2.728 | 35 |
| 2.717 | 100 |
| 2.656 | 75 |
| 2.646 | 50 |
| 2.595 | 13 |
| 1.899 | 38 |
| 1.584 | 16 |
| 1.542 | 31 |
| 1.529 | 15 |
| 1.358 | 9 |
| 1.209 | 9 |


(4)
The following is a theoretical XRD peak list of Pr3ZnHg. It was derived from DFT lattice parameters and positions (PBE), using Cu Kα, 1.54184 Å.
Peak positions follow from Bragg's law for the DFT cell and can differ from measured ones.

Crystal structure
```
data_Pr3ZnHg
_space_group_name_H-M_alt 'C m c m'
_space_group_IT_number 63
_space_group_name_Hall '-C 2c 2'
_cell_length_a 5.4007
_cell_length_b 20.0591
_cell_length_c 5.4006
_cell_angle_alpha 90.00
_cell_angle_beta 90.00
_cell_angle_gamma 90.00
loop_
_atom_site_label
_atom_site_type_symbol
_atom_site_fract_x
_atom_site_fract_y
_atom_site_fract_z
Pr1 Pr 0.0000 0.0640 0.2500
Pr2 Pr 0.0000 0.2496 0.2500
Pr3 Pr 0.0000 0.4342 0.2500
Zn1 Zn 0.0000 0.1527 0.7500
Hg1 Hg 0.0000 0.3444 0.7500
```

Top 12 peaks for 10 to 90 degrees two-theta, low angle first:
| d/Å | intensity |
| --- | --- |
| 4.755 | 6 |
| 4.201 | 5 |
| 2.766 | 100 |
| 2.700 | 52 |
| 2.006 | 7 |
| 1.909 | 19 |
| 1.610 | 14 |
| 1.571 | 36 |
| 1.383 | 9 |
| 1.350 | 6 |
| 1.213 | 8 |
| 1.208 | 8 |


(5)
The following is a theoretical XRD peak list of Hg5Pt. It was derived from DFT lattice parameters and positions (PBE), using Cu Kα, 1.54184 Å.
Peak positions follow from Bragg's law for the DFT cell and can differ from measured ones.

Crystal structure
```
data_Hg5Pt
_space_group_name_H-M_alt 'P 4/m m m'
_space_group_IT_number 123
_space_group_name_Hall '-P 4 2'
_cell_length_a 3.1000
_cell_length_b 3.1000
_cell_length_c 14.4449
_cell_angle_alpha 90.00
_cell_angle_beta 90.00
_cell_angle_gamma 90.00
loop_
_atom_site_label
_atom_site_type_symbol
_atom_site_fract_x
_atom_site_fract_y
_atom_site_fract_z
Hg1 Hg 0.0000 0.0000 0.0000
Hg2 Hg 0.0000 0.0000 0.3662
Hg3 Hg 0.5000 0.5000 0.1858
Pt1 Pt 0.5000 0.5000 0.5000
```

Top 12 peaks for 10 to 90 degrees two-theta, low angle first:
| d/Å | intensity |
| --- | --- |
| 2.889 | 9 |
| 2.607 | 100 |
| 2.407 | 11 |
| 2.352 | 8 |
| 2.192 | 37 |
| 1.746 | 8 |
| 1.621 | 14 |
| 1.560 | 11 |
| 1.550 | 13 |
| 1.332 | 26 |
| 1.303 | 7 |
| 1.100 | 8 |


(6)
The following is a theoretical XRD peak list of Hg3Pt. It was derived from DFT lattice parameters and positions (PBE), using Cu Kα, 1.54184 Å.
Peak positions follow from Bragg's law for the DFT cell and can differ from measured ones.

Crystal structure
```
data_Hg3Pt
_space_group_name_H-M_alt 'P m -3 m'
_space_group_IT_number 221
_space_group_name_Hall '-P 4 2 3'
_cell_length_a 5.3431
_cell_length_b 5.3431
_cell_length_c 5.3431
_cell_angle_alpha 90.00
_cell_angle_beta 90.00
_cell_angle_gamma 90.00
loop_
_atom_site_label
_atom_site_type_symbol
_atom_site_fract_x
_atom_site_fract_y
_atom_site_fract_z
Hg1 Hg 0.0000 0.0000 0.5000
Pt1 Pt 0.0000 0.0000 0.0000
```

Top 12 peaks for 10 to 90 degrees two-theta, low angle first:
| d/Å | intensity |
| --- | --- |
| 5.343 | 100 |
| 3.085 | 39 |
| 2.672 | 76 |
| 2.389 | 54 |
| 1.889 | 56 |
| 1.781 | 28 |
| 1.611 | 18 |
| 1.542 | 19 |
| 1.482 | 12 |
| 1.296 | 16 |
| 1.195 | 26 |
| 1.091 | 21 |


Q: Number 3 is which compound?
A: Pr4ZnHg5